Starting from the GGA+U geometry in Alexandria, the PXRD pattern of Ca2CuWO6 was calculated for Cu Ka.
Intensities are scaled so that the largest is 100.

```
data_Ca2CuWO6
_chemical_formula_sum 'Ca4 Cu2 W2 O12'
_space_group_name_H-M_alt 'P 1 21/c 1'
_space_group_IT_number 14
_cell_length_a 5.530
_cell_length_b 5.759
_cell_length_c 9.371
_cell_angle_alpha 90.00
_cell_angle_beta 125.96
_cell_angle_gamma 90.00
loop_
_space_group_symop_operation_xyz
'x,y,z'
'-x,-y,-z'
'-x,y+1/2,-z+1/2'
'x,-y+1/2,z+1/2'
loop_
_atom_site_label
_atom_site_type_symbol
_atom_site_fract_x
_atom_site_fract_y
_atom_site_fract_z
_atom_site_occupancy
Ca1 Ca 0.237 0.059 0.248 1
Cu1 Cu 0.000 0.000 0.500 1
W1 W 0.500 0.000 0.000 1
O1 O 0.164 0.183 0.953 1
O2 O 0.268 0.717 0.947 1
O3 O 0.347 0.035 0.751 1
```

Top 12 peaks for 10° ≤ 2θ ≤ 80°, in order of rising 2θ:
2θ/deg, I (rel.), (hkl)
19.35, 29, 0 1 1
19.87, 26, 1 0 -2
22.29, 54, 1 1 -1
23.46, 22, 0 0 2
31.06, 27, 0 2 0
32.38, 25, 2 0 -2
32.58, 100, 1 1 -3
45.48, 28, 2 2 -2
47.97, 15, 0 0 4
56.23, 18, 1 3 1
57.80, 13, 3 1 -1
57.96, 12, 3 1 -5